Record 1
For La2Er7Tm3, a structure optimized by DFT (GGA-PBE) gives the computed powder XRD pattern in this record (Cu Kα, 1.54184 Å).

Structure:
abc: 5.652 37.757 3.596
angles: 90.00 90.00 90.00
Space group Cmmm (No. 65)
One atom of each set of equivalent atoms:
La (0.000, 0.147, 0.000)
Er (0.000, 0.000, 0.000)
Er (0.000, 0.070, 0.500)
Er (0.000, 0.231, 0.000)
Er (0.000, 0.413, 0.000)
Tm (0.000, 0.312, 0.500)
Tm (0.000, 0.500, 0.500)

Principal peaks in the range 15° ≤ 2θ ≤ 90°, by angle:
hkl, 2θ/deg, I (rel.)
1 11 0, 30.5, 41.4
0 8 1, 31.3, 21.9
2 0 0, 31.7, 55.6
1 5 1, 31.8, 100.0
1 7 1, 33.9, 31.8
1 13 0, 34.7, 20.1
2 8 1, 45.1, 16.0
0 0 2, 50.8, 14.9
3 5 1, 56.5, 19.8
2 0 2, 61.1, 17.1

***

Record 2
For La2Nd6Y3Er, a structure optimized by DFT (GGA-PBE) gives the computed powder XRD pattern in this record (Cu Kα, 1.54184 Å).

Structure:
abc: 6.333 10.973 12.061
angles: 90.00 100.10 90.00
Space group C2/m (No. 12)
One atom of each set of equivalent atoms:
La (0.000, 0.167, 0.000)
Nd (0.248, 0.500, 0.747)
Nd (0.250, 0.166, 0.747)
Y (0.000, 0.000, 0.500)
Y (0.000, 0.334, 0.500)
Er (0.000, 0.500, 0.000)

Principal peaks in the range 15° ≤ 2θ ≤ 90°, by angle:
hkl, 2θ/deg, I (rel.)
1 3 1, 29.9, 100.0
0 0 4, 30.1, 32.8
2 0 2, 34.8, 67.1
0 6 0, 49.9, 24.1
1 3 5, 50.1, 23.6
4 0 0, 59.3, 33.2
3 3 3, 59.4, 9.4
2 0 6, 59.5, 13.9
2 6 2, 62.2, 12.3
3 3 7, 84.0, 10.5

***

Record 3
For CdBi3O6, a structure optimized by DFT (GGA-PBE) gives the computed powder XRD pattern in this record (Cu Kα, 1.54184 Å).

Structure:
abc: 9.474 11.343 5.819
angles: 90.00 90.00 90.00
Space group Cmc2_1 (No. 36)
One atom of each set of equivalent atoms:
Cd (0.000, 0.165, 0.000)
Bi (0.000, 0.398, 0.556)
Bi (0.193, 0.116, 0.516)
O (0.000, 0.023, 0.716)
O (0.000, 0.225, 0.357)
O (0.150, 0.468, 0.282)
O (0.162, 0.264, 0.772)

Principal peaks in the range 15° ≤ 2θ ≤ 90°, by angle:
hkl, 2θ/deg, I (rel.)
1 1 1, 19.5, 12.7
2 2 1, 29.0, 100.0
3 1 0, 29.4, 14.1
1 3 1, 29.7, 24.0
0 0 2, 30.7, 23.2
0 4 0, 31.5, 17.2
3 1 2, 43.0, 17.0
0 4 2, 44.6, 20.7
3 5 0, 49.5, 13.0
2 2 3, 53.5, 16.7

***

Record 4
For DyMg4In15, a structure optimized by DFT (GGA-PBE) gives the computed powder XRD pattern in this record (Cu Kα, 1.54184 Å).

Structure:
abc: 4.635 4.635 23.240
angles: 90.00 90.00 90.00
Space group P4/mmm (No. 123)
One atom of each set of equivalent atoms:
Dy (0.000, 0.000, 0.000)
Mg (0.000, 0.000, 0.200)
Mg (0.000, 0.000, 0.400)
In (0.000, 0.500, 0.102)
In (0.000, 0.500, 0.300)
In (0.000, 0.500, 0.500)
In (0.500, 0.500, 0.000)
In (0.500, 0.500, 0.202)
In (0.500, 0.500, 0.400)

Principal peaks in the range 15° ≤ 2θ ≤ 90°, by angle:
hkl, 2θ/deg, I (rel.)
1 0 0, 19.1, 7.6
1 1 0, 27.2, 6.6
1 1 5, 33.5, 100.0
0 0 10, 38.7, 16.6
2 0 0, 38.9, 33.1
2 2 0, 56.1, 32.9
1 1 15, 66.8, 12.7
3 1 5, 66.9, 25.4
2 2 10, 70.3, 11.0
4 0 0, 83.4, 3.5